No. 1
Diffraction record for PmCd2CuO4. The powder X-ray diffraction pattern is simulated, not measured: it uses a crystal structure in Alexandria, relaxed with PBE and copper Kα.
Kinematic intensities with the Lorentz-polarization factor, no thermal factor.

Structural model:
```
data_PmCd2CuO4
_cell_length_a 3.361
_cell_length_b 11.335
_cell_length_c 11.407
_cell_angle_alpha 90.00
_cell_angle_beta 90.00
_cell_angle_gamma 90.00
_symmetry_space_group_name_H-M 'C m c m'
_symmetry_Int_Tables_number 63
_symmetry_space_group_name_Hall '-C 2c 2'
loop_
_atom_site_label
_atom_site_type_symbol
_atom_site_fract_x
_atom_site_fract_y
_atom_site_fract_z
_atom_site_occupancy
Pm1 Pm 0.000 0.122 0.250 1
Cd1 Cd 0.000 0.372 0.050 1
Cu1 Cu 0.000 0.137 0.750 1
O1 O 0.000 0.000 0.000 1
O2 O 0.000 0.280 0.628 1
O3 O 0.000 0.470 0.250 1
```

Most intense lines, 2θ from 5° to 70°, by angle:
2theta	I/Imax	h k l
28.3	71	0 2 3
31.4	36	0 0 4
31.6	64	0 4 0
31.9	100	1 1 2
36.6	30	1 3 1
39.2	99	1 3 2
45.1	24	0 4 4
48.9	29	1 1 5
51.2	34	1 5 2
54.6	22	2 0 0

***

No. 2
Diffraction record for PuCdCuO6. The powder X-ray diffraction pattern is simulated, not measured: it uses a crystal structure in Alexandria, relaxed with PBE and copper Kα.
Kinematic intensities with the Lorentz-polarization factor, no thermal factor.

Structural model:
```
data_PuCdCuO6
_cell_length_a 5.2386
_cell_length_b 5.2386
_cell_length_c 9.9877
_cell_angle_alpha 90.00
_cell_angle_beta 90.00
_cell_angle_gamma 120.00
_symmetry_space_group_name_H-M 'P -3 1 c'
_symmetry_Int_Tables_number 163
_symmetry_space_group_name_Hall '-P 3 2c'
loop_
_atom_site_label
_atom_site_type_symbol
_atom_site_fract_x
_atom_site_fract_y
_atom_site_fract_z
_atom_site_occupancy
Pu1 Pu 0.3333 0.6667 0.2500 1
Cd1 Cd 0.0000 0.0000 0.0000 1
Cu1 Cu 0.3333 0.6667 0.7500 1
O1 O 0.0023 0.3576 0.1384 1
```

Most intense lines, 2θ from 5° to 70°, by angle:
2theta	I/Imax	h k l
17.8	25	0 0 2
21.5	45	1 0 1
26.5	100	1 0 2
33.4	15	1 0 3
34.2	49	1 1 0
38.8	20	1 1 2
43.8	25	2 0 2
50.5	50	1 1 4
56.8	24	2 1 2
61.3	16	3 0 0